Record 1
Calculated X-ray diffraction stick pattern
Compound: Rb3TiBr7
Radiation: CuKα
Structure: DFT lattice parameters and positions (PBE)
Peak positions follow from Bragg's law for the DFT cell and can differ from measured ones.

Structure:
Lattice parameters (Å, degrees): 7.0841 7.0841 9.0260 102.46 102.46 91.57
Positions (direct):
Rb (0.0000, 0.0000, 0.0000)
Rb (0.3457, 0.8024, 0.5568)
Rb (0.8024, 0.3457, 0.5568)
Ti (0.4802, 0.4802, 0.0679)
Br (0.1330, 0.4783, 0.9178)
Br (0.3575, 0.3575, 0.2865)
Br (0.4654, 0.8216, 0.2084)
Br (0.4783, 0.1330, 0.9178)
Br (0.6015, 0.6015, 0.8566)
Br (0.8216, 0.4654, 0.2084)
Br (0.8802, 0.8802, 0.6036)

Main lines, in order of rising 2θ (2θ = 10–90°):
- d 3.809, intensity 49
- d 3.485, intensity 45
- d 3.448, intensity 45
- d 3.128, intensity 39
- d 3.093, intensity 39
- d 2.974, intensity 100
- d 2.888, intensity 57
- d 2.864, intensity 77
- d 2.696, intensity 58
- d 2.496, intensity 42

***

Record 2
Calculated X-ray diffraction stick pattern
Compound: TcPt2Rh8
Radiation: CuKα
Structure: DFT lattice parameters and positions (PBE)
Peak positions follow from Bragg's law for the DFT cell and can differ from measured ones.

Structure:
Lattice parameters (Å, degrees): 6.6087 6.6087 4.0553 90.00 90.00 105.65
Positions (direct):
Tc (0.0000, 0.0000, 0.0000)
Pt (0.3778, 0.6222, 0.5000)
Pt (0.6222, 0.3778, 0.5000)
Rh (0.0384, 0.2908, 0.5000)
Rh (0.2401, 0.7599, 0.0000)
Rh (0.2908, 0.0384, 0.5000)
Rh (0.3288, 0.3288, 0.0000)
Rh (0.6712, 0.6712, 0.0000)
Rh (0.7092, 0.9616, 0.5000)
Rh (0.7599, 0.2401, 0.0000)
Rh (0.9616, 0.7092, 0.5000)

Main lines, in order of rising 2θ (2θ = 10–90°):
- d 3.993, intensity 20
- d 2.208, intensity 100
- d 2.177, intensity 88
- d 2.121, intensity 35
- d 2.028, intensity 39
- d 1.652, intensity 21
- d 1.466, intensity 21
- d 1.281, intensity 18
- d 1.203, intensity 14
- d 1.140, intensity 25

***

Record 3
Calculated X-ray diffraction stick pattern
Compound: Sc6ZnRu5
Radiation: CuKα
Structure: DFT lattice parameters and positions (PBE)
Peak positions follow from Bragg's law for the DFT cell and can differ from measured ones.

Structure:
Lattice parameters (Å, degrees): 7.8783 7.8783 7.8783 146.34 131.16 60.63
Positions (direct):
Sc (0.0718, 0.3287, 0.7432)
Sc (0.2369, 0.0000, 0.2369)
Sc (0.4145, 0.6713, 0.7432)
Sc (0.5855, 0.3287, 0.2568)
Sc (0.7631, 0.0000, 0.7631)
Sc (0.9282, 0.6713, 0.2568)
Zn (0.5000, 0.5000, 0.0000)
Ru (0.0000, 0.5000, 0.5000)
Ru (0.1673, 0.1673, 0.0000)
Ru (0.3379, 0.8379, 0.5000)
Ru (0.6621, 0.1621, 0.5000)
Ru (0.8327, 0.8327, 0.0000)

Main lines, in order of rising 2θ (2θ = 10–90°):
- d 3.257, intensity 9
- d 3.216, intensity 18
- d 2.289, intensity 100
- d 2.281, intensity 25
- d 2.267, intensity 24
- d 1.629, intensity 8
- d 1.608, intensity 16
- d 1.318, intensity 16
- d 1.313, intensity 15
- d 1.144, intensity 10

***

Record 4
Calculated X-ray diffraction stick pattern
Compound: V5Fe4Tc
Radiation: CuKα
Structure: DFT lattice parameters and positions (PBE)
Peak positions follow from Bragg's law for the DFT cell and can differ from measured ones.

Structure:
Lattice parameters (Å, degrees): 2.9363 2.9363 14.3242 90.00 90.00 90.00
Positions (direct):
V (0.0000, 0.0000, 0.0000)
V (0.0000, 0.0000, 0.1956)
V (0.0000, 0.0000, 0.3938)
V (0.0000, 0.0000, 0.6062)
V (0.0000, 0.0000, 0.8044)
Fe (0.5000, 0.5000, 0.0981)
Fe (0.5000, 0.5000, 0.2945)
Fe (0.5000, 0.5000, 0.7055)
Fe (0.5000, 0.5000, 0.9019)
Tc (0.5000, 0.5000, 0.5000)

Main lines, in order of rising 2θ (2θ = 10–90°):
- d 7.162, intensity 2
- d 2.936, intensity 3
- d 2.865, intensity 1
- d 2.271, intensity 3
- d 2.076, intensity 53
- d 2.051, intensity 100
- d 1.468, intensity 16
- d 1.432, intensity 7
- d 1.194, intensity 30
- d 1.179, intensity 14

***

Record 5
Calculated X-ray diffraction stick pattern
Compound: SrPb3Se4
Radiation: CuKα
Structure: DFT lattice parameters and positions (PBE)
Peak positions follow from Bragg's law for the DFT cell and can differ from measured ones.

Structure:
Lattice parameters (Å, degrees): 8.8251 12.4783 4.4090 90.00 90.00 90.00
Positions (direct):
Sr (0.0000, 0.0000, 0.0000)
Sr (0.5000, 0.5000, 0.0000)
Pb (0.0000, 0.5000, 0.0000)
Pb (0.2500, 0.2500, 0.5000)
Pb (0.2500, 0.7500, 0.5000)
Pb (0.5000, 0.0000, 0.0000)
Pb (0.7500, 0.2500, 0.5000)
Pb (0.7500, 0.7500, 0.5000)
Se (0.0000, 0.2501, 0.0000)
Se (0.0000, 0.7499, 0.0000)
Se (0.2498, 0.0000, 0.5000)
Se (0.2502, 0.5000, 0.5000)
Se (0.5000, 0.2499, 0.0000)
Se (0.5000, 0.7501, 0.0000)
Se (0.7502, 0.0000, 0.5000)
Se (0.7498, 0.5000, 0.5000)

Main lines, in order of rising 2θ (2θ = 10–90°):
- d 3.602, intensity 26
- d 3.119, intensity 100
- d 2.206, intensity 77
- d 1.881, intensity 14
- d 1.801, intensity 28
- d 1.560, intensity 13
- d 1.431, intensity 6
- d 1.395, intensity 36
- d 1.273, intensity 27
- d 1.103, intensity 9

***

Record 6
Calculated X-ray diffraction stick pattern
Compound: CsLiLaBr
Radiation: CuKα
Structure: DFT lattice parameters and positions (PBE)
Peak positions follow from Bragg's law for the DFT cell and can differ from measured ones.

Structure:
Lattice parameters (Å, degrees): 4.1323 4.0518 9.7859 90.00 102.13 90.00
Positions (direct):
Cs (0.0000, 0.0000, 0.0000)
Li (0.3397, 0.5000, 0.6842)
La (0.7418, 0.0000, 0.4872)
Br (0.6165, 0.5000, 0.2342)

Main lines, in order of rising 2θ (2θ = 10–90°):
- d 4.784, intensity 38
- d 4.043, intensity 87
- d 3.468, intensity 49
- d 3.092, intensity 100
- d 2.861, intensity 56
- d 2.808, intensity 24
- d 2.635, intensity 51
- d 2.392, intensity 23
- d 2.308, intensity 22
- d 1.718, intensity 35

***

Record 7
Calculated X-ray diffraction stick pattern
Compound: La3Zn9Ag2
Radiation: CuKα
Structure: DFT lattice parameters and positions (PBE)
Peak positions follow from Bragg's law for the DFT cell and can differ from measured ones.

Structure:
Lattice parameters (Å, degrees): 8.4936 8.4936 8.4936 148.68 116.10 72.89
Positions (direct):
La (0.0000, 0.0000, 0.0000)
La (0.2970, 0.2970, 0.0000)
La (0.7030, 0.7030, 0.0000)
Zn (0.0222, 0.6639, 0.3583)
Zn (0.1478, 0.8634, 0.2845)
Zn (0.3056, 0.6639, 0.6417)
Zn (0.4211, 0.1366, 0.2845)
Zn (0.5000, 0.0000, 0.5000)
Zn (0.5789, 0.8634, 0.7155)
Zn (0.6944, 0.3361, 0.3583)
Zn (0.8522, 0.1366, 0.7155)
Zn (0.9778, 0.3361, 0.6417)
Ag (0.3080, 0.5000, 0.8080)
Ag (0.6920, 0.5000, 0.1920)

Main lines, in order of rising 2θ (2θ = 10–90°):
- d 2.720, intensity 14
- d 2.623, intensity 100
- d 2.506, intensity 40
- d 2.355, intensity 26
- d 2.348, intensity 14
- d 2.293, intensity 38
- d 2.277, intensity 18
- d 1.691, intensity 12
- d 1.616, intensity 12
- d 1.379, intensity 13

***

Record 8
Calculated X-ray diffraction stick pattern
Compound: SrLi2AsH
Radiation: CuKα
Structure: DFT lattice parameters and positions (PBE)
Peak positions follow from Bragg's law for the DFT cell and can differ from measured ones.

Structure:
Lattice parameters (Å, degrees): 5.9688 5.9688 7.3305 90.00 90.00 138.25
Positions (direct):
Sr (0.0657, 0.9343, 0.7500)
Sr (0.9343, 0.0657, 0.2500)
Li (0.3347, 0.6653, 0.5620)
Li (0.3347, 0.6653, 0.9380)
Li (0.6653, 0.3347, 0.0620)
Li (0.6653, 0.3347, 0.4380)
As (0.2153, 0.7847, 0.2500)
As (0.7847, 0.2153, 0.7500)
H (0.5000, 0.5000, 0.0000)
H (0.5000, 0.5000, 0.5000)

Main lines, in order of rising 2θ (2θ = 10–90°):
- d 3.974, intensity 58
- d 3.665, intensity 71
- d 2.694, intensity 55
- d 2.615, intensity 100
- d 2.606, intensity 53
- d 2.127, intensity 20
- d 1.840, intensity 71
- d 1.648, intensity 26
- d 1.382, intensity 17
- d 1.298, intensity 17

***

Record 9
Calculated X-ray diffraction stick pattern
Compound: Sm3CuIr3
Radiation: CuKα
Structure: DFT lattice parameters and positions (PBE)
Peak positions follow from Bragg's law for the DFT cell and can differ from measured ones.

Structure:
Lattice parameters (Å, degrees): 5.5598 5.5598 13.7169 90.00 90.00 134.92
Positions (direct):
Sm (0.0079, 0.9921, 0.7500)
Sm (0.2939, 0.7061, 0.6027)
Sm (0.2939, 0.7061, 0.8973)
Sm (0.7061, 0.2939, 0.1027)
Sm (0.7061, 0.2939, 0.3973)
Sm (0.9921, 0.0079, 0.2500)
Cu (0.0000, 0.0000, 0.0000)
Cu (0.0000, 0.0000, 0.5000)
Ir (0.2762, 0.7238, 0.2500)
Ir (0.4168, 0.5832, 0.0886)
Ir (0.4168, 0.5832, 0.4114)
Ir (0.5832, 0.4168, 0.5886)
Ir (0.5832, 0.4168, 0.9114)
Ir (0.7238, 0.2762, 0.7500)

Main lines, in order of rising 2θ (2θ = 10–90°):
- d 3.414, intensity 26
- d 2.983, intensity 24
- d 2.669, intensity 37
- d 2.586, intensity 51
- d 2.305, intensity 100
- d 2.286, intensity 32
- d 2.239, intensity 35
- d 2.131, intensity 41
- d 1.559, intensity 24
- d 1.544, intensity 22

***

Record 10
Calculated X-ray diffraction stick pattern
Compound: Sr3CaAu4
Radiation: CuKα
Structure: DFT lattice parameters and positions (PBE)
Peak positions follow from Bragg's law for the DFT cell and can differ from measured ones.

Structure:
Lattice parameters (Å, degrees): 7.5880 7.5880 7.5880 90.00 90.00 90.00
Positions (direct):
Sr (0.0000, 0.0000, 0.5000)
Sr (0.0000, 0.5000, 0.0000)
Sr (0.0000, 0.5000, 0.5000)
Sr (0.5000, 0.0000, 0.0000)
Sr (0.5000, 0.0000, 0.5000)
Sr (0.5000, 0.5000, 0.0000)
Ca (0.0000, 0.0000, 0.0000)
Ca (0.5000, 0.5000, 0.5000)
Au (0.2500, 0.2500, 0.2500)
Au (0.2500, 0.2500, 0.7500)
Au (0.2500, 0.7500, 0.2500)
Au (0.2500, 0.7500, 0.7500)
Au (0.7500, 0.2500, 0.2500)
Au (0.7500, 0.2500, 0.7500)
Au (0.7500, 0.7500, 0.2500)
Au (0.7500, 0.7500, 0.7500)

Main lines, in order of rising 2θ (2θ = 10–90°):
- d 3.794, intensity 23
- d 2.683, intensity 100
- d 2.190, intensity 7
- d 1.897, intensity 18
- d 1.697, intensity 10
- d 1.549, intensity 38
- d 1.341, intensity 12
- d 1.265, intensity 5
- d 1.200, intensity 17
- d 1.095, intensity 4

***

Record 11
Calculated X-ray diffraction stick pattern
Compound: Pm6Y2Cd
Radiation: CuKα
Structure: DFT lattice parameters and positions (PBE)
Peak positions follow from Bragg's law for the DFT cell and can differ from measured ones.

Structure:
Lattice parameters (Å, degrees): 9.7032 9.7032 3.6289 90.00 90.00 120.00
Positions (direct):
Pm (0.0000, 0.3736, 0.0000)
Pm (0.0000, 0.7174, 0.5000)
Pm (0.2826, 0.2826, 0.5000)
Pm (0.3736, 0.0000, 0.0000)
Pm (0.6264, 0.6264, 0.0000)
Pm (0.7174, 0.0000, 0.5000)
Y (0.3333, 0.6667, 0.5000)
Y (0.6667, 0.3333, 0.5000)
Cd (0.0000, 0.0000, 0.0000)

Main lines, in order of rising 2θ (2θ = 10–90°):
- d 3.176, intensity 31
- d 2.906, intensity 100
- d 2.801, intensity 86
- d 2.746, intensity 38
- d 2.390, intensity 20
- d 2.017, intensity 19
- d 1.814, intensity 12
- d 1.702, intensity 31
- d 1.637, intensity 13
- d 1.524, intensity 39

***

Record 12
Calculated X-ray diffraction stick pattern
Compound: CsNd2Br2F5
Radiation: CuKα
Structure: DFT lattice parameters and positions (PBE)
Peak positions follow from Bragg's law for the DFT cell and can differ from measured ones.

Structure:
Lattice parameters (Å, degrees): 10.6108 10.6108 3.6583 90.00 90.00 90.00
Positions (direct):
Cs (0.0000, 0.0000, 0.0000)
Cs (0.5000, 0.5000, 0.0000)
Nd (0.1255, 0.3745, 0.0000)
Nd (0.3745, 0.8745, 0.0000)
Nd (0.6255, 0.1255, 0.0000)
Nd (0.8745, 0.6255, 0.0000)
Br (0.1677, 0.6677, 0.0000)
Br (0.3323, 0.1677, 0.0000)
Br (0.6677, 0.8323, 0.0000)
Br (0.8323, 0.3323, 0.0000)
F (0.0000, 0.5000, 0.5000)
F (0.0789, 0.2416, 0.5000)
F (0.2416, 0.9211, 0.5000)
F (0.2584, 0.4211, 0.5000)
F (0.4211, 0.7416, 0.5000)
F (0.5000, 0.0000, 0.5000)
F (0.5789, 0.2584, 0.5000)
F (0.7416, 0.5789, 0.5000)
F (0.7584, 0.0789, 0.5000)
F (0.9211, 0.7584, 0.5000)

Main lines, in order of rising 2θ (2θ = 10–90°):
- d 4.745, intensity 24
- d 3.658, intensity 56
- d 3.355, intensity 86
- d 2.473, intensity 100
- d 2.373, intensity 16
- d 2.293, intensity 32
- d 2.148, intensity 18
- d 1.829, intensity 16
- d 1.669, intensity 22
- d 1.606, intensity 20